# 1
# CaLa12Sm7
Theoretical powder XRD pattern, a wavelength of 1.5418 Å. Input: a crystal structure in Alexandria, relaxed with PBE.

Cell and atoms:
a = 11.831 Å, b = 11.831 Å, c = 11.831 Å
α = 90.00°, β = 90.00°, γ = 90.00°
Space group Im-3m (No. 229)
One atom of each set of equivalent atoms:
Ca  0.000  0.000  0.000 [2 per cell]
La  0.000  0.255  0.255 [24 per cell]
Sm  0.000  0.000  0.500 [6 per cell]
Sm  0.250  0.250  0.250 [8 per cell]

The 10 most intense peaks (2θ = 10–90°), in order of falling intensity:
| 2θ (°) | I (rel.) | hkl |
| --- | --- | --- |
| 30.22 | 100 | 4 0 0 |
| 43.26 | 74 | 4 4 0 |
| 26.09 | 61 | 2 2 2 |
| 71.30 | 33 | 8 4 0 |
| 14.98 | 31 | 2 0 0 |
| 51.22 | 28 | 6 2 2 |
| 53.67 | 26 | 4 4 4 |
| 79.35 | 24 | 8 4 4 |
| 21.24 | 19 | 2 2 0 |
| 33.89 | 17 | 4 2 0 |

---

# 2
# CaLa4Sm2
Theoretical powder XRD pattern, a wavelength of 1.5418 Å. Input: a crystal structure in Alexandria, relaxed with PBE.

Cell and atoms:
a = 3.7205 Å, b = 3.7205 Å, c = 64.3924 Å
α = 90.00°, β = 90.00°, γ = 120.00°
Space group R-3m (No. 166, hexagonal axes)
One atom of each set of equivalent atoms:
Ca  0.0000  0.0000  0.0000 [3 per cell]
La  0.0000  0.0000  0.1431 [6 per cell]
La  0.0000  0.0000  0.2827 [6 per cell]
Sm  0.0000  0.0000  0.4294 [6 per cell]

The 10 most intense peaks (2θ = 10–90°), in order of falling intensity:
| 2θ (°) | I (rel.) | hkl |
| --- | --- | --- |
| 29.37 | 100 | 1 0 7 |
| 33.97 | 67 | 0 1 14 |
| 29.12 | 33 | 0 0 21 |
| 57.99 | 28 | 1 1 21 |
| 48.96 | 24 | 1 1 0 |
| 48.64 | 23 | 1 0 28 |
| 58.13 | 14 | 0 2 7 |
| 57.70 | 13 | 0 1 35 |
| 60.93 | 12 | 2 0 14 |
| 79.37 | 12 | 2 1 7 |

---

# 3
# CaLaSn
Theoretical powder XRD pattern, a wavelength of 1.5418 Å. Input: a crystal structure in Alexandria, relaxed with PBE.

Cell and atoms:
a = 4.768 Å, b = 4.768 Å, c = 8.756 Å
α = 90.00°, β = 90.00°, γ = 90.00°
Space group P4/nmm (No. 129, origin choice 2)
One atom of each set of equivalent atoms:
Ca  0.250  0.750  0.000 [2 per cell]
La  0.250  0.250  0.361 [2 per cell]
Sn  0.250  0.250  0.739 [2 per cell]

The 10 most intense peaks (2θ = 10–90°), in order of falling intensity:
| 2θ (°) | I (rel.) | hkl |
| --- | --- | --- |
| 26.44 | 100 | 1 1 0 |
| 33.55 | 82 | 1 1 2 |
| 37.74 | 77 | 2 0 0 |
| 28.37 | 71 | 1 1 1 |
| 36.08 | 67 | 1 0 3 |
| 27.66 | 54 | 1 0 2 |
| 53.20 | 45 | 2 1 3 |
| 69.45 | 35 | 2 1 5 |
| 55.94 | 33 | 1 0 5 |
| 49.36 | 27 | 2 0 3 |